No. 1
Na4Zr2Ge5O17: calculated XRD peak list (Cu Kα X-rays), based on DFT lattice parameters and positions (GGA-PBE).
Peak positions follow from Bragg's law for the DFT cell and can differ from measured ones.

Structure:
```
data_Na4Zr2Ge5O17
_chemical_formula_sum 'Na8 Zr4 Ge10 O34'
_cell_length_a 7.193
_cell_length_b 5.537
_cell_length_c 21.468
_cell_angle_alpha 90.00
_cell_angle_beta 107.01
_cell_angle_gamma 90.00
_space_group_name_H-M_alt 'P 1 2/c 1'
_space_group_IT_number 13
_space_group_name_Hall '-P 2yc'
loop_
_atom_site_label
_atom_site_type_symbol
_atom_site_fract_x
_atom_site_fract_y
_atom_site_fract_z
Na1 Na 0.115 0.240 0.474
Na2 Na 0.250 0.007 0.288
Zr1 Zr 0.385 0.234 0.089
Ge1 Ge 0.148 0.258 0.635
Ge2 Ge 0.308 0.286 0.921
Ge3 Ge 0.500 0.491 0.750
O1 O 0.000 0.306 0.250
O2 O 0.088 0.292 0.853
O3 O 0.156 0.040 0.110
O4 O 0.189 0.467 0.579
O5 O 0.246 0.169 0.989
O6 O 0.301 0.287 0.718
O7 O 0.384 0.412 0.436
O8 O 0.458 0.090 0.894
O9 O 0.472 0.331 0.313
```

Principal peaks in the range 2θ from 10° to 90°, by angle:
(1 0 0), 12.9°, rel. 44; (0 0 4), 17.3°, rel. 37; (1 1 -1), 20.2°, rel. 77; (1 1 -3), 22.3°, rel. 52; (0 0 6), 26.0°, rel. 43; (1 1 -5), 27.1°, rel. 76; (2 1 -1), 29.8°, rel. 100; (0 2 0), 32.3°, rel. 29; (1 0 6), 32.5°, rel. 53; (1 1 -7), 33.7°, rel. 30

No. 2
Na15SnGe8P: calculated XRD peak list (Cu Kα X-rays), based on DFT lattice parameters and positions (GGA-PBE).
Peak positions follow from Bragg's law for the DFT cell and can differ from measured ones.

Structure:
```
data_Na15SnGe8P
_chemical_formula_sum 'Na60 Sn4 Ge32 P4'
_cell_length_a 17.647
_cell_length_b 12.948
_cell_length_c 11.255
_cell_angle_alpha 90.00
_cell_angle_beta 90.00
_cell_angle_gamma 90.00
_space_group_name_H-M_alt 'C m c m'
_space_group_IT_number 63
_space_group_name_Hall '-C 2c 2'
loop_
_atom_site_label
_atom_site_type_symbol
_atom_site_fract_x
_atom_site_fract_y
_atom_site_fract_z
Na1 Na 0.000 0.067 0.250
Na2 Na 0.000 0.249 0.503
Na3 Na 0.084 0.352 0.750
Na4 Na 0.093 0.396 0.250
Na5 Na 0.130 0.087 0.617
Na6 Na 0.190 0.369 0.501
Sn1 Sn 0.000 0.500 0.000
Ge1 Ge 0.146 0.163 0.136
Ge2 Ge 0.247 0.242 0.750
Ge3 Ge 0.250 0.054 0.250
P1 P 0.000 0.156 0.750
```

Principal peaks in the range 2θ from 10° to 90°, by angle:
(2 0 0), 10.0°, rel. 54; (0 0 2), 15.8°, rel. 78; (3 1 0), 16.6°, rel. 49; (2 0 2), 18.7°, rel. 100; (2 4 2), 33.5°, rel. 81; (4 4 0), 34.4°, rel. 61; (6 0 2), 34.4°, rel. 50; (4 4 1), 35.3°, rel. 67; (4 0 4), 37.9°, rel. 92; (3 3 4), 41.3°, rel. 51